Record 1
Theoretical powder diffractogram of MnCuSi for Cu Kα (weighted mean of Kα1 and Kα2), from the GGA-PBE geometry in Alexandria.
Neutral-atom scattering factors, no anomalous dispersion.

Cell and atoms:
a b c (Å): 3.4375 3.4375 6.2590
angles (deg): 90.00 90.00 90.00
Atoms (fractional coordinates):
Mn1 0.2500 0.2500 0.1414
Mn2 0.7500 0.7500 0.8586
Cu1 0.2500 0.7500 0.5000
Cu2 0.7500 0.2500 0.5000
Si1 0.2500 0.2500 0.7723
Si2 0.7500 0.7500 0.2277

Principal peaks in the range 2θ = 10–80°, by angle:
Position (°2θ)	I_rel
14.15	22
38.92	20
39.78	100
43.37	28
47.36	58
51.22	10
53.30	40
71.06	23
71.74	12
78.74	12

=====

Record 2
Theoretical powder diffractogram of MnTlCuTe2 for Cu Kα (weighted mean of Kα1 and Kα2), from the GGA-PBE geometry in Alexandria.
Neutral-atom scattering factors, no anomalous dispersion.

Cell and atoms:
a b c (Å): 8.1981 6.1269 6.2707
angles (deg): 90.00 111.63 90.00
Atoms (fractional coordinates):
Mn1 0.0000 0.0097 0.2500
Mn2 0.0000 0.9903 0.7500
Tl1 0.5000 0.2749 0.2500
Tl2 0.5000 0.7251 0.7500
Cu1 0.0000 0.5000 0.0000
Cu2 0.0000 0.5000 0.5000
Te1 0.2377 0.2274 0.6213
Te2 0.2377 0.7726 0.1213
Te3 0.7623 0.2274 0.8787
Te4 0.7623 0.7726 0.3787

Principal peaks in the range 2θ = 10–80°, by angle:
Position (°2θ)	I_rel
26.73	97
27.01	100
28.47	59
29.15	24
31.47	38
35.70	36
36.07	32
41.20	36
46.44	20
47.73	22

=====

Record 3
Theoretical powder diffractogram of Th2MnZn3Cu12 for Cu Kα (weighted mean of Kα1 and Kα2), from the GGA-PBE geometry in Alexandria.
Neutral-atom scattering factors, no anomalous dispersion.

Cell and atoms:
a b c (Å): 9.6521 9.6521 9.6521
angles (deg): 37.35 37.35 37.35
Atoms (fractional coordinates):
Th1 0.1501 0.1501 0.1501
Th2 0.8499 0.8499 0.8499
Mn1 0.5000 0.5000 0.5000
Zn1 0.0000 0.5000 0.5000
Zn2 0.5000 0.0000 0.5000
Zn3 0.5000 0.5000 0.0000
Cu1 0.0802 0.0802 0.6937
Cu2 0.0802 0.6937 0.0802
Cu3 0.1317 0.5798 0.5798
Cu4 0.3063 0.9198 0.9198
Cu5 0.4202 0.4202 0.8683
Cu6 0.4202 0.8683 0.4202
Cu7 0.5798 0.1317 0.5798
Cu8 0.5798 0.5798 0.1317
Cu9 0.6937 0.0802 0.0802
Cu10 0.8683 0.4202 0.4202
Cu11 0.9198 0.3063 0.9198
Cu12 0.9198 0.9198 0.3063

Principal peaks in the range 2θ = 10–80°, by angle:
Position (°2θ)	I_rel
30.59	100
33.65	32
35.27	48
36.11	52
37.41	54
40.55	32
43.20	36
45.32	29
52.27	28
59.85	35

=====

Record 4
Theoretical powder diffractogram of MnTl2Cu for Cu Kα (weighted mean of Kα1 and Kα2), from the GGA-PBE geometry in Alexandria.
Neutral-atom scattering factors, no anomalous dispersion.

Cell and atoms:
a b c (Å): 3.2321 3.2979 8.1402
angles (deg): 90.00 90.00 90.00
Atoms (fractional coordinates):
Mn1 0.0000 0.0000 0.0000
Tl1 0.0000 0.0000 0.3880
Tl2 0.5000 0.5000 0.7419
Cu1 0.5000 0.5000 0.1403

Principal peaks in the range 2θ = 10–80°, by angle:
Position (°2θ)	I_rel
21.84	21
29.22	72
29.74	69
33.01	51
35.02	84
35.47	81
39.02	100
52.01	57
67.83	24
68.66	23

=====

Record 5
Theoretical powder diffractogram of MnTlCu2 for Cu Kα (weighted mean of Kα1 and Kα2), from the GGA-PBE geometry in Alexandria.
Neutral-atom scattering factors, no anomalous dispersion.

Cell and atoms:
a b c (Å): 3.1198 3.1198 6.6521
angles (deg): 90.00 90.00 90.00
Atoms (fractional coordinates):
Mn1 0.0000 0.0000 0.0000
Tl1 0.5000 0.5000 0.3142
Cu1 0.0000 0.0000 0.6025
Cu2 0.5000 0.5000 0.7923

Principal peaks in the range 2θ = 10–80°, by angle:
Position (°2θ)	I_rel
13.31	22
26.80	14
28.61	18
31.68	39
39.61	100
40.91	52
59.07	13
59.24	17
70.98	12
73.62	31

=====

Record 6
Theoretical powder diffractogram of Mn2CuW for Cu Kα (weighted mean of Kα1 and Kα2), from the GGA-PBE geometry in Alexandria.
Neutral-atom scattering factors, no anomalous dispersion.

Cell and atoms:
a b c (Å): 3.0675 3.0675 5.5232
angles (deg): 90.00 90.00 90.00
Atoms (fractional coordinates):
Mn1 0.0000 0.0000 0.2459
Mn2 0.0000 0.0000 0.7541
Cu1 0.5000 0.5000 0.0000
W1 0.5000 0.5000 0.5000

Principal peaks in the range 2θ = 10–80°, by angle:
Position (°2θ)	I_rel
16.05	28
29.11	22
32.42	9
33.41	22
41.64	59
44.13	100
44.90	9
53.74	9
60.35	19
77.73	35

=====

Record 7
Theoretical powder diffractogram of Y3MnCu for Cu Kα (weighted mean of Kα1 and Kα2), from the GGA-PBE geometry in Alexandria.
Neutral-atom scattering factors, no anomalous dispersion.

Cell and atoms:
a b c (Å): 5.2948 5.2948 5.2948
angles (deg): 90.00 90.00 90.00
Atoms (fractional coordinates):
Y1 0.0000 0.0000 0.5000
Y2 0.0000 0.5000 0.0000
Y3 0.5000 0.0000 0.0000
Mn1 0.5000 0.5000 0.5000
Cu1 0.0000 0.0000 0.0000

Principal peaks in the range 2θ = 10–80°, by angle:
Position (°2θ)	I_rel
16.74	39
29.21	84
33.86	100
38.00	20
48.64	69
51.80	10
57.75	35
60.58	23
71.24	10
78.79	14

=====

Record 8
Theoretical powder diffractogram of MnZn4Cu2 for Cu Kα (weighted mean of Kα1 and Kα2), from the GGA-PBE geometry in Alexandria.
Neutral-atom scattering factors, no anomalous dispersion.

Cell and atoms:
a b c (Å): 2.6538 20.1860 3.7799
angles (deg): 90.00 90.00 90.00
Atoms (fractional coordinates):
Mn1 0.0000 0.0000 0.0000
Mn2 0.5000 0.5000 0.0000
Zn1 0.0000 0.1421 0.0000
Zn2 0.0000 0.4323 0.5000
Zn3 0.0000 0.5677 0.5000
Zn4 0.0000 0.8579 0.0000
Zn5 0.5000 0.0677 0.5000
Zn6 0.5000 0.3579 0.0000
Zn7 0.5000 0.6421 0.0000
Zn8 0.5000 0.9323 0.5000
Cu1 0.0000 0.3018 0.5000
Cu2 0.0000 0.6982 0.5000
Cu3 0.5000 0.1982 0.5000
Cu4 0.5000 0.8018 0.5000

Principal peaks in the range 2θ = 10–80°, by angle:
Position (°2θ)	I_rel
29.53	11
35.73	34
41.83	100
43.10	74
43.80	18
46.51	70
48.15	37
64.64	8
69.17	39
71.04	10